The following is a computed X-ray diffraction stick pattern of ScGa40Mo8. It was derived from a DFT-relaxed cell (GGA-PBE, the Materials Project), using Cu Kα, 1.54184 Å.

Top 12 peaks for 2θ = 10–90°, in order of rising 2θ:
| two_theta | Rel. int. | hkl |
| --- | --- | --- |
| 21.5 | 40.2 | 2 -1 3 |
| 30.8 | 49.5 | 2 2 3 |
| 35.4 | 29.2 | 1 3 4 |
| 38.0 | 56.4 | 5 -4 3 |
| 39.3 | 34.1 | 2 4 1 |
| 39.7 | 48.4 | 4 -1 5 |
| 39.8 | 59.7 | 3 2 4 |
| 41.4 | 39.7 | 5 1 1 |
| 41.8 | 57.5 | 0 4 5 |
| 42.2 | 40.3 | 3 3 3 |
| 43.8 | 100.0 | 4 -2 6 |
| 44.3 | 71.2 | 6 0 0 |

Atomic structure:
Unit cell a=14.1695 b=14.1695 c=15.2472 alpha=90.00 beta=90.00 gamma=120.00
Space group R-3 (No. 148, hexagonal axes)
One atom of each set of equivalent atoms:
Sc  0.0000  0.0000  0.0000 x3
Ga  0.0000  0.0000  0.5000 x3
Ga  0.0000  0.5000  0.0000 x9
Ga  0.0019  0.8166  0.7836 x18
Ga  0.0120  0.1270  0.6640 x18
Ga  0.0121  0.3161  0.7680 x18
Ga  0.0155  0.8466  0.1144 x18
Ga  0.0240  0.4864  0.6605 x18
Ga  0.0963  0.5607  0.1724 x18
Mo  0.0000  0.0000  0.2012 x6
Mo  0.0138  0.3038  0.5975 x18